For Ba2CrAg, a DFT-relaxed cell (GGA-PBE, Alexandria) gives the calculated XRD peak list in this record (a wavelength of 1.5418 Å).
Peak positions follow from Bragg's law for the DFT cell and can differ from measured ones.

Peak list (8 most intense, 2θ from 5° to 70°, by angle)
| Position (°2θ) | I (rel.) | hkl |
| --- | --- | --- |
| 26.74 | 100 | 1 1 1 |
| 27.73 | 63 | 0 1 3 |
| 33.39 | 56 | 1 1 3 |
| 33.53 | 28 | 1 0 4 |
| 36.67 | 28 | 0 2 0 |
| 36.95 | 27 | 2 0 0 |
| 46.82 | 29 | 2 1 3 |
| 60.61 | 26 | 1 2 6 |

Structure:
```
Ba2CrAg
1.0
4.8656 0.0000 0.0000
0.0000 4.9010 0.0000
0.0000 0.0000 12.7934
Ba Cr Ag
4 2 2
Cartesian
0.0000 0.0000 0.0000
0.0000 2.4505 6.3967
2.4328 0.0000 3.6227
2.4328 2.4505 10.0194
0.0000 0.0000 8.9784
0.0000 2.4505 2.5817
2.4328 0.0000 7.4921
2.4328 2.4505 1.0954
```